1.
Calculated X-ray powder pattern
Compound: Ce2P4PdPt3
Radiation: Cu Kα X-rays
Structure: a cell relaxed with GGA-PBE

Most intense lines, 2θ from 15° to 90°, in order of rising 2θ:
- 27.96°, d = 3.191 Å, I = 44
- 29.13°, d = 3.065 Å, I = 26
- 30.67°, d = 2.915 Å, I = 85
- 34.91°, d = 2.570 Å, I = 88
- 35.27°, d = 2.545 Å, I = 100
- 41.67°, d = 2.168 Å, I = 90
- 48.73°, d = 1.869 Å, I = 25
- 55.70°, d = 1.650 Å, I = 54
- 60.40°, d = 1.533 Å, I = 30
- 66.90°, d = 1.399 Å, I = 23

Cell and atoms:
a b c (Å): 4.335 4.335 9.430
angles (deg): 90.00 90.00 90.00
Element x y z (fractional)
Ce  0.000  0.500  0.246
Ce  0.500  0.000  0.754
P  0.000  0.000  0.000
P  0.000  0.500  0.632
P  0.500  0.000  0.368
P  0.500  0.500  0.000
Pd  0.000  0.000  0.500
Pt  0.000  0.500  0.886
Pt  0.500  0.000  0.114
Pt  0.500  0.500  0.500

***

2.
Calculated X-ray powder pattern
Compound: SmCdSi
Radiation: Cu Kα X-rays
Structure: a cell relaxed with GGA-PBE

Most intense lines, 2θ from 15° to 90°, in order of rising 2θ:
- 21.44°, d = 4.145 Å, I = 16
- 31.40°, d = 2.849 Å, I = 39
- 31.64°, d = 2.827 Å, I = 100
- 31.86°, d = 2.809 Å, I = 16
- 33.86°, d = 2.647 Å, I = 68
- 39.66°, d = 2.272 Å, I = 24
- 42.26°, d = 2.138 Å, I = 24
- 47.00°, d = 1.933 Å, I = 17
- 53.59°, d = 1.710 Å, I = 17
- 59.18°, d = 1.561 Å, I = 26

Cell and atoms:
a b c (Å): 8.693 8.693 3.867
angles (deg): 90.00 90.00 151.52
Element x y z (fractional)
Sm  0.092  0.908  0.750
Sm  0.908  0.092  0.250
Cd  0.287  0.713  0.750
Cd  0.713  0.287  0.250
Si  0.457  0.543  0.750
Si  0.543  0.457  0.250

***

3.
Calculated X-ray powder pattern
Compound: KMgAuS2
Radiation: Cu Kα X-rays
Structure: a cell relaxed with GGA-PBE

Most intense lines, 2θ from 15° to 90°, in order of rising 2θ:
- 15.99°, d = 5.543 Å, I = 88
- 20.58°, d = 4.316 Å, I = 100
- 25.91°, d = 3.439 Å, I = 49
- 27.08°, d = 3.293 Å, I = 78
- 30.60°, d = 2.922 Å, I = 71
- 31.60°, d = 2.831 Å, I = 70
- 31.74°, d = 2.819 Å, I = 54
- 34.90°, d = 2.571 Å, I = 72
- 36.61°, d = 2.455 Å, I = 52
- 36.98°, d = 2.431 Å, I = 61

Cell and atoms:
a b c (Å): 7.103 5.543 6.763
angles (deg): 90.00 104.50 90.00
Element x y z (fractional)
K  0.000  0.203  0.250
K  0.000  0.797  0.750
Mg  0.500  0.492  0.750
Mg  0.500  0.508  0.250
Au  0.500  0.000  0.000
Au  0.500  0.000  0.500
S  0.273  0.314  0.944
S  0.273  0.686  0.444
S  0.727  0.314  0.556
S  0.727  0.686  0.056

***

4.
Calculated X-ray powder pattern
Compound: Co2PtRh
Radiation: Cu Kα X-rays
Structure: a cell relaxed with GGA-PBE

Most intense lines, 2θ from 15° to 90°, in order of rising 2θ:
- 18.19°, d = 4.877 Å, I = 20
- 28.66°, d = 3.115 Å, I = 39
- 41.44°, d = 2.179 Å, I = 100
- 43.31°, d = 2.089 Å, I = 70
- 43.77°, d = 2.068 Å, I = 51
- 44.77°, d = 2.024 Å, I = 36
- 64.40°, d = 1.447 Å, I = 32
- 80.24°, d = 1.196 Å, I = 14
- 81.37°, d = 1.183 Å, I = 14
- 86.21°, d = 1.128 Å, I = 19

Cell and atoms:
a b c (Å): 4.049 5.058 5.058
angles (deg): 30.73 90.00 90.00
Element x y z (fractional)
Co  0.000  0.000  0.000
Co  0.500  0.128  0.128
Pt  0.000  0.736  0.736
Rh  0.500  0.396  0.396